(1)
Structure and theoretical powder diffractogram of Dy2Sb5 (a crystal structure in OQMD, relaxed with PBE; Cu Ka).
Intensities are scaled so that the largest is 100.

Largest 10 diffraction maxima, in order of rising 2θ, 2θ from 10° to 80°:
two_theta, d_spacing, I/Imax, hkl
27.15, 3.285, 29, 1 0 4
28.87, 3.093, 34, 3 0 -4
29.67, 3.011, 36, 3 1 0
29.70, 3.008, 33, 2 1 -3
30.01, 2.977, 87, 1 1 3
32.77, 2.733, 31, 0 1 4
34.63, 2.590, 62, 1 1 4
35.01, 2.563, 100, 4 1 0
36.03, 2.493, 90, 3 1 -4
42.96, 2.105, 66, 0 2 0

Atomic structure:
```
data_Dy2Sb5
_cell_length_a 13.2119
_cell_length_b 4.2107
_cell_length_c 14.6764
_cell_angle_alpha 90.00
_cell_angle_beta 102.06
_cell_angle_gamma 90.00
_symmetry_space_group_name_H-M 'P 1 21/m 1'
_symmetry_Int_Tables_number 11
_symmetry_space_group_name_Hall '-P 2yb'
loop_
_atom_site_label
_atom_site_type_symbol
_atom_site_fract_x
_atom_site_fract_y
_atom_site_fract_z
Dy1 Dy 0.0468 0.2500 0.3619
Dy2 Dy 0.3316 0.2500 0.5776
Dy3 Dy 0.3384 0.2500 0.8549
Dy4 Dy 0.3922 0.7500 0.2295
Sb1 Sb 0.0292 0.2500 0.0904
Sb2 Sb 0.1390 0.2500 0.6777
Sb3 Sb 0.1413 0.7500 0.2211
Sb4 Sb 0.1441 0.7500 0.5181
Sb5 Sb 0.1520 0.7500 0.8283
Sb6 Sb 0.2780 0.2500 0.0622
Sb7 Sb 0.2835 0.2500 0.3468
Sb8 Sb 0.4196 0.7500 0.0245
Sb9 Sb 0.4255 0.7500 0.7344
Sb10 Sb 0.4259 0.7500 0.4491
```

(2)
Structure and theoretical powder diffractogram of Li4BiPPt2 (a crystal structure in OQMD, relaxed with PBE; Cu Ka).
Intensities are scaled so that the largest is 100.

Largest 10 diffraction maxima, in order of rising 2θ, 2θ from 10° to 80°:
two_theta, d_spacing, I/Imax, hkl
21.17, 4.196, 12, 1 0 0
24.99, 3.564, 100, 1 0 1
32.98, 2.716, 25, 1 1 1
34.09, 2.630, 20, 1 0 2
40.48, 2.229, 52, 1 1 2
43.12, 2.098, 28, 2 0 0
45.75, 1.983, 11, 1 0 3
50.48, 1.808, 30, 2 1 1
60.31, 1.535, 13, 2 0 3
77.26, 1.235, 16, 3 1 2

Atomic structure:
```
data_Li4BiPPt2
_cell_length_a 4.1958
_cell_length_b 4.1958
_cell_length_c 6.7522
_cell_angle_alpha 90.00
_cell_angle_beta 90.00
_cell_angle_gamma 90.00
_symmetry_space_group_name_H-M 'P -4 m 2'
_symmetry_Int_Tables_number 115
_symmetry_space_group_name_Hall 'P -4 -2'
loop_
_atom_site_label
_atom_site_type_symbol
_atom_site_fract_x
_atom_site_fract_y
_atom_site_fract_z
Li1 Li 0.0000 0.0000 0.0000
Li2 Li 0.0000 0.5000 0.7078
Li3 Li 0.5000 0.5000 0.5000
Bi1 Bi 0.5000 0.5000 0.0000
P1 P 0.0000 0.0000 0.5000
Pt1 Pt 0.0000 0.5000 0.2999
```

(3)
Structure and theoretical powder diffractogram of Zr6Co23 (a crystal structure in OQMD, relaxed with PBE; Cu Ka).
Intensities are scaled so that the largest is 100.

Largest 10 diffraction maxima, in order of rising 2θ, 2θ from 10° to 80°:
two_theta, d_spacing, I/Imax, hkl
34.17, 2.624, 10, 3 3 1
38.56, 2.335, 20, 4 2 2
41.00, 2.201, 63, 3 3 3
44.82, 2.022, 100, 4 4 0
47.00, 1.933, 18, 5 3 1
47.71, 1.906, 11, 6 0 0
50.46, 1.809, 8, 6 2 0
52.46, 1.744, 9, 5 3 3
66.96, 1.397, 9, 7 3 3
69.76, 1.348, 14, 8 2 2

Atomic structure:
```
data_Zr6Co23
_cell_length_a 11.4384
_cell_length_b 11.4384
_cell_length_c 11.4384
_cell_angle_alpha 90.00
_cell_angle_beta 90.00
_cell_angle_gamma 90.00
_symmetry_space_group_name_H-M 'F m -3 m'
_symmetry_Int_Tables_number 225
_symmetry_space_group_name_Hall '-F 4 2 3'
loop_
_atom_site_label
_atom_site_type_symbol
_atom_site_fract_x
_atom_site_fract_y
_atom_site_fract_z
Zr1 Zr 0.0000 0.0000 0.2100
Co1 Co 0.0000 0.0000 0.5000
Co2 Co 0.0000 0.2500 0.2500
Co3 Co 0.1209 0.1209 0.3791
Co4 Co 0.1748 0.1748 0.1748
```

(4)
Structure and theoretical powder diffractogram of KRbTlAu3 (a crystal structure in OQMD, relaxed with PBE; Cu Ka).
Intensities are scaled so that the largest is 100.

Largest 10 diffraction maxima, in order of rising 2θ, 2θ from 10° to 80°:
two_theta, d_spacing, I/Imax, hkl
16.04, 5.525, 91, 0 1 1
18.18, 4.879, 100, 1 0 1
28.00, 3.187, 53, 1 1 2
31.71, 2.821, 45, 1 2 1
32.41, 2.763, 70, 0 2 2
36.06, 2.491, 29, 1 2 2
39.14, 2.301, 45, 2 1 2
42.00, 2.151, 30, 2 2 1
42.42, 2.131, 47, 1 0 4
50.72, 1.800, 28, 2 3 0

Atomic structure:
```
data_KRbTlAu3
_cell_length_a 5.7591
_cell_length_b 6.9168
_cell_length_c 9.1838
_cell_angle_alpha 90.00
_cell_angle_beta 90.00
_cell_angle_gamma 90.00
_symmetry_space_group_name_H-M 'P m m a'
_symmetry_Int_Tables_number 51
_symmetry_space_group_name_Hall '-P 2a 2a'
loop_
_atom_site_label
_atom_site_type_symbol
_atom_site_fract_x
_atom_site_fract_y
_atom_site_fract_z
K1 K 0.2500 0.0000 0.1379
Rb1 Rb 0.2500 0.5000 0.3683
Tl1 Tl 0.2500 0.5000 0.9304
Au1 Au 0.0000 0.0000 0.5000
Au2 Au 0.2500 0.2072 0.7194
```

(5)
Structure and theoretical powder diffractogram of CdMoW (a crystal structure in OQMD, relaxed with PBE; Cu Ka).
Intensities are scaled so that the largest is 100.

Largest 8 diffraction maxima, in order of rising 2θ, 2θ from 10° to 80°:
two_theta, d_spacing, I/Imax, hkl
24.59, 3.620, 53, 1 1 1
28.47, 3.135, 1, 2 0 0
40.70, 2.217, 100, 2 2 0
48.13, 1.890, 27, 3 1 1
58.92, 1.567, 17, 4 0 0
64.82, 1.438, 11, 3 3 1
74.08, 1.280, 34, 4 2 2
79.42, 1.207, 8, 5 1 1

Atomic structure:
```
data_CdMoW
_cell_length_a 6.2697
_cell_length_b 6.2697
_cell_length_c 6.2697
_cell_angle_alpha 90.00
_cell_angle_beta 90.00
_cell_angle_gamma 90.00
_symmetry_space_group_name_H-M 'F -4 3 m'
_symmetry_Int_Tables_number 216
_symmetry_space_group_name_Hall 'F -4 2 3'
loop_
_atom_site_label
_atom_site_type_symbol
_atom_site_fract_x
_atom_site_fract_y
_atom_site_fract_z
Cd1 Cd 0.0000 0.0000 0.0000
Mo1 Mo 0.0000 0.0000 0.5000
W1 W 0.2500 0.2500 0.2500
```

(6)
Structure and theoretical powder diffractogram of DyAl2Hg (a crystal structure in OQMD, relaxed with PBE; Cu Ka).
Intensities are scaled so that the largest is 100.

Largest 10 diffraction maxima, in order of rising 2θ, 2θ from 10° to 80°:
two_theta, d_spacing, I/Imax, hkl
15.54, 5.704, 33, 0 0 2
18.94, 4.684, 32, 1 0 0
24.93, 3.571, 36, 1 1 1
32.45, 2.759, 46, 0 2 2
36.90, 2.436, 64, 1 0 4
37.84, 2.378, 100, 1 2 2
38.43, 2.342, 33, 2 0 0
51.15, 1.786, 26, 2 2 2
56.52, 1.628, 19, 0 2 6
70.43, 1.337, 20, 2 2 6

Atomic structure:
```
data_DyAl2Hg
_cell_length_a 4.6844
_cell_length_b 6.3060
_cell_length_c 11.4072
_cell_angle_alpha 90.00
_cell_angle_beta 90.00
_cell_angle_gamma 90.00
_symmetry_space_group_name_H-M 'A m m 2'
_symmetry_Int_Tables_number 38
_symmetry_space_group_name_Hall 'A 2 -2'
loop_
_atom_site_label
_atom_site_type_symbol
_atom_site_fract_x
_atom_site_fract_y
_atom_site_fract_z
Dy1 Dy 0.0000 0.0000 0.0000
Dy2 Dy 0.5000 0.0000 0.3514
Al1 Al 0.0000 0.0000 0.5374
Al2 Al 0.0000 0.2233 0.7535
Al3 Al 0.5000 0.0000 0.8251
Hg1 Hg 0.5000 0.2488 0.6023
```

(7)
Structure and theoretical powder diffractogram of Ni21Sn2B6 (a crystal structure in OQMD, relaxed with PBE; Cu Ka).
Intensities are scaled so that the largest is 100.

Largest 10 diffraction maxima, in order of rising 2θ, 2θ from 10° to 80°:
two_theta, d_spacing, I/Imax, hkl
37.92, 2.373, 50, 4 2 0
41.70, 2.166, 49, 4 2 2
44.36, 2.042, 100, 3 3 3
48.53, 1.876, 28, 4 4 0
50.91, 1.794, 25, 5 3 1
54.71, 1.678, 7, 6 2 0
57.62, 1.600, 14, 6 2 2
73.61, 1.287, 15, 6 4 4
76.12, 1.251, 31, 6 6 0
77.98, 1.225, 12, 5 5 5

Atomic structure:
```
data_Ni21Sn2B6
_cell_length_a 10.6109
_cell_length_b 10.6109
_cell_length_c 10.6109
_cell_angle_alpha 90.00
_cell_angle_beta 90.00
_cell_angle_gamma 90.00
_symmetry_space_group_name_H-M 'F m -3 m'
_symmetry_Int_Tables_number 225
_symmetry_space_group_name_Hall '-F 4 2 3'
loop_
_atom_site_label
_atom_site_type_symbol
_atom_site_fract_x
_atom_site_fract_y
_atom_site_fract_z
Ni1 Ni 0.0000 0.0000 0.0000
Ni2 Ni 0.0000 0.1679 0.1679
Ni3 Ni 0.1146 0.1146 0.3854
Sn1 Sn 0.2500 0.2500 0.2500
B1 B 0.0000 0.0000 0.2732
```

(8)
Structure and theoretical powder diffractogram of Gd5Ga3 (a crystal structure in OQMD, relaxed with PBE; Cu Ka).
Intensities are scaled so that the largest is 100.

Largest 10 diffraction maxima, in order of rising 2θ, 2θ from 10° to 80°:
two_theta, d_spacing, I/Imax, hkl
26.73, 3.335, 17, 2 1 1
29.87, 2.992, 15, 1 1 4
32.12, 2.787, 100, 2 1 3
33.04, 2.711, 14, 2 2 0
34.23, 2.619, 40, 2 0 4
37.08, 2.425, 42, 3 1 0
37.61, 2.392, 14, 0 0 6
52.82, 1.733, 18, 4 1 3
57.06, 1.614, 16, 3 3 4
64.64, 1.442, 13, 3 3 6

Atomic structure:
```
data_Gd5Ga3
_cell_length_a 7.6674
_cell_length_b 7.6674
_cell_length_c 14.3495
_cell_angle_alpha 90.00
_cell_angle_beta 90.00
_cell_angle_gamma 90.00
_symmetry_space_group_name_H-M 'I 4/m c m'
_symmetry_Int_Tables_number 140
_symmetry_space_group_name_Hall '-I 4 2c'
loop_
_atom_site_label
_atom_site_type_symbol
_atom_site_fract_x
_atom_site_fract_y
_atom_site_fract_z
Gd1 Gd 0.0000 0.0000 0.0000
Gd2 Gd 0.1709 0.3291 0.1482
Ga1 Ga 0.0000 0.0000 0.2500
Ga2 Ga 0.1205 0.3795 0.5000
```

(9)
Structure and theoretical powder diffractogram of PmTcHg (a crystal structure in OQMD, relaxed with PBE; Cu Ka).
Intensities are scaled so that the largest is 100.

Largest 8 diffraction maxima, in order of rising 2θ, 2θ from 10° to 80°:
two_theta, d_spacing, I/Imax, hkl
22.71, 3.916, 50, 1 1 1
26.28, 3.391, 2, 2 0 0
37.50, 2.398, 100, 2 2 0
44.29, 2.045, 27, 3 1 1
54.08, 1.696, 17, 4 0 0
59.40, 1.556, 11, 3 3 1
67.67, 1.385, 36, 4 2 2
72.40, 1.305, 9, 5 1 1

Atomic structure:
```
data_PmTcHg
_cell_length_a 6.7828
_cell_length_b 6.7828
_cell_length_c 6.7828
_cell_angle_alpha 90.00
_cell_angle_beta 90.00
_cell_angle_gamma 90.00
_symmetry_space_group_name_H-M 'F -4 3 m'
_symmetry_Int_Tables_number 216
_symmetry_space_group_name_Hall 'F -4 2 3'
loop_
_atom_site_label
_atom_site_type_symbol
_atom_site_fract_x
_atom_site_fract_y
_atom_site_fract_z
Pm1 Pm 0.0000 0.0000 0.0000
Tc1 Tc 0.0000 0.0000 0.5000
Hg1 Hg 0.2500 0.2500 0.2500
```

(10)
Structure and theoretical powder diffractogram of ZnInGaTeS3 (a crystal structure in OQMD, relaxed with PBE; Cu Ka).
Intensities are scaled so that the largest is 100.

Largest 10 diffraction maxima, in order of rising 2θ, 2θ from 10° to 80°:
two_theta, d_spacing, I/Imax, hkl
17.73, 5.004, 37, 1 0 -1
22.47, 3.957, 26, 1 1 -1
27.02, 3.300, 100, 1 -1 1
27.24, 3.274, 47, 1 1 0
28.39, 3.144, 25, 1 1 -2
29.44, 3.034, 22, 0 1 -2
43.79, 2.067, 27, 2 -2 0
45.15, 2.008, 41, 0 2 1
45.86, 1.979, 18, 2 2 -2
46.65, 1.947, 31, 2 0 -3

Atomic structure:
```
data_ZnInGaTeS3
_cell_length_a 5.7219
_cell_length_b 5.7303
_cell_length_c 6.6222
_cell_angle_alpha 112.96
_cell_angle_beta 112.86
_cell_angle_gamma 92.47
_symmetry_space_group_name_H-M 'P 1'
_symmetry_Int_Tables_number 1
_symmetry_space_group_name_Hall 'P 1'
loop_
_atom_site_label
_atom_site_type_symbol
_atom_site_fract_x
_atom_site_fract_y
_atom_site_fract_z
Zn1 Zn 0.0000 0.0000 0.0000
In1 In 0.4850 0.5228 0.0073
Ga1 Ga 0.2635 0.7870 0.5230
Te1 Te 0.8794 0.3766 0.3081
S1 S 0.1173 0.1203 0.7426
S2 S 0.3621 0.9048 0.2635
S3 S 0.6160 0.6589 0.7418
```

(11)
Structure and theoretical powder diffractogram of NdCuNiPt3 (a crystal structure in OQMD, relaxed with PBE; Cu Ka).
Intensities are scaled so that the largest is 100.

Largest 10 diffraction maxima, in order of rising 2θ, 2θ from 10° to 80°:
two_theta, d_spacing, I/Imax, hkl
21.56, 4.121, 29, 0 0 1
28.92, 3.088, 73, 1 0 1
38.62, 2.331, 100, 2 0 0
40.01, 2.254, 94, 1 1 1
43.94, 2.061, 40, 0 0 2
44.66, 2.029, 78, 2 0 1
56.82, 1.620, 23, 2 1 1
59.91, 1.544, 57, 2 0 2
64.03, 1.454, 23, 3 0 1
69.89, 1.346, 30, 2 2 0

Atomic structure:
```
data_NdCuNiPt3
_cell_length_a 5.3835
_cell_length_b 5.3835
_cell_length_c 4.1210
_cell_angle_alpha 90.00
_cell_angle_beta 90.00
_cell_angle_gamma 120.00
_symmetry_space_group_name_H-M 'P -6 m 2'
_symmetry_Int_Tables_number 187
_symmetry_space_group_name_Hall 'P -6 2'
loop_
_atom_site_label
_atom_site_type_symbol
_atom_site_fract_x
_atom_site_fract_y
_atom_site_fract_z
Nd1 Nd 0.0000 0.0000 0.0000
Cu1 Cu 0.6667 0.3333 0.0000
Ni1 Ni 0.3333 0.6667 0.0000
Pt1 Pt 0.0011 0.5005 0.5000
```

(12)
Structure and theoretical powder diffractogram of GdSiTc (a crystal structure in OQMD, relaxed with PBE; Cu Ka).
Intensities are scaled so that the largest is 100.

Largest 10 diffraction maxima, in order of rising 2θ, 2θ from 10° to 80°:
two_theta, d_spacing, I/Imax, hkl
24.60, 3.619, 12, 1 1 1
28.48, 3.134, 84, 2 0 0
40.71, 2.216, 100, 2 2 0
48.14, 1.890, 6, 3 1 1
50.43, 1.810, 23, 2 2 2
58.93, 1.567, 17, 4 0 0
64.83, 1.438, 3, 3 3 1
66.73, 1.402, 29, 4 2 0
74.10, 1.280, 34, 4 2 2
79.44, 1.206, 2, 5 1 1

Atomic structure:
```
data_GdSiTc
_cell_length_a 6.2685
_cell_length_b 6.2685
_cell_length_c 6.2685
_cell_angle_alpha 90.00
_cell_angle_beta 90.00
_cell_angle_gamma 90.00
_symmetry_space_group_name_H-M 'F -4 3 m'
_symmetry_Int_Tables_number 216
_symmetry_space_group_name_Hall 'F -4 2 3'
loop_
_atom_site_label
_atom_site_type_symbol
_atom_site_fract_x
_atom_site_fract_y
_atom_site_fract_z
Gd1 Gd 0.0000 0.0000 0.0000
Si1 Si 0.2500 0.2500 0.2500
Tc1 Tc 0.0000 0.0000 0.5000
```

(13)
Structure and theoretical powder diffractogram of Al2CdTe2S2 (a crystal structure in OQMD, relaxed with PBE; Cu Ka).
Intensities are scaled so that the largest is 100.

Largest 10 diffraction maxima, in order of rising 2θ, 2θ from 10° to 80°:
two_theta, d_spacing, I/Imax, hkl
16.88, 5.252, 82, 1 0 0
26.03, 3.423, 93, 1 1 0
26.29, 3.390, 100, -1 1 1
26.70, 3.339, 69, 1 -1 1
27.26, 3.271, 83, 1 1 -2
28.90, 3.089, 39, 0 1 -2
34.69, 2.586, 42, 2 1 -1
42.73, 2.116, 43, 2 -2 0
43.35, 2.087, 41, 0 2 1
45.43, 1.996, 56, 0 2 -3

Atomic structure:
```
data_Al2CdTe2S2
_cell_length_a 5.8943
_cell_length_b 6.0309
_cell_length_c 6.7996
_cell_angle_alpha 113.79
_cell_angle_beta 114.33
_cell_angle_gamma 90.48
_symmetry_space_group_name_H-M 'P 1'
_symmetry_Int_Tables_number 1
_symmetry_space_group_name_Hall 'P 1'
loop_
_atom_site_label
_atom_site_type_symbol
_atom_site_fract_x
_atom_site_fract_y
_atom_site_fract_z
Al1 Al 0.0000 0.0000 0.0000
Al2 Al 0.2120 0.7812 0.4950
Cd1 Cd 0.4926 0.5456 0.9866
Te1 Te 0.3781 0.3941 0.2842
Te2 Te 0.6291 0.1253 0.7089
S1 S 0.1025 0.6848 0.7420
S2 S 0.8966 0.9036 0.2494
```